This entry pairs a crystal structure of Pm2CoCuH6 with its computed XRD peak list. Radiation: a wavelength of 1.5418 Å. Structure: the GGA-PBE geometry in Alexandria.
Peak positions follow from Bragg's law for the DFT cell and can differ from measured ones.

Crystal structure
```
Pm2CoCuH6
1.0
3.6177 -3.6424 0.0000
3.6177 3.6424 0.0000
-3.6088 0.0000 3.6354
Pm Co Cu H
2 1 1 6
direct
0.2499 0.7501 0.0000
0.7501 0.2499 0.0000
0.0000 0.0000 0.5000
0.5000 0.5000 0.5000
0.2310 0.2310 0.9618
0.2308 0.7692 0.5000
0.2321 0.2321 0.5004
0.7679 0.7679 0.4996
0.7692 0.2308 0.5000
0.7690 0.7690 0.0382
```

Peak list (12 most intense, 2θ from 10° to 90°, sorted by position)
| d [Å] | 2theta | I_rel |
| --- | --- | --- |
| 3.639 | 24.5 | 14 |
| 3.618 | 24.6 | 7 |
| 2.569 | 34.9 | 100 |
| 2.561 | 35.0 | 20 |
| 2.097 | 43.1 | 7 |
| 1.821 | 50.1 | 7 |
| 1.818 | 50.2 | 7 |
| 1.809 | 50.5 | 7 |
| 1.485 | 62.6 | 21 |
| 1.482 | 62.7 | 14 |
| 1.479 | 62.9 | 7 |
| 1.284 | 73.8 | 7 |

This entry pairs a crystal structure of Pu2CoCuH6 with its computed XRD peak list. Radiation: a wavelength of 1.5418 Å. Structure: the GGA-PBE geometry in Alexandria.
Peak positions follow from Bragg's law for the DFT cell and can differ from measured ones.

Crystal structure
```
Pu2CoCuH6
1.0
0.0000 3.5978 3.5978
3.5978 0.0000 3.5978
3.5978 3.5978 0.0000
Pu Co Cu H
2 1 1 6
direct
0.2500 0.2500 0.2500
0.7500 0.7500 0.7500
0.0000 0.0000 0.0000
0.5000 0.5000 0.5000
0.2330 0.2330 0.7670
0.2330 0.7670 0.2330
0.2330 0.7670 0.7670
0.7670 0.2330 0.2330
0.7670 0.2330 0.7670
0.7670 0.7670 0.2330
```

Peak list (9 most intense, 2θ from 10° to 90°, sorted by position)
| d [Å] | 2theta | I_rel |
| --- | --- | --- |
| 3.598 | 24.7 | 37 |
| 2.544 | 35.3 | 100 |
| 2.077 | 43.6 | 13 |
| 1.799 | 50.8 | 18 |
| 1.609 | 57.3 | 17 |
| 1.469 | 63.3 | 37 |
| 1.272 | 74.6 | 12 |
| 1.199 | 80.0 | 9 |
| 1.138 | 85.3 | 17 |

This entry pairs a crystal structure of ThCo2CuH8 with its computed XRD peak list. Radiation: a wavelength of 1.5418 Å. Structure: the GGA-PBE geometry in Alexandria.
Peak positions follow from Bragg's law for the DFT cell and can differ from measured ones.

Crystal structure
```
ThCo2CuH8
1.0
4.5863 0.0000 0.0000
-2.2931 3.9718 0.0000
0.0000 0.0000 6.3672
Th Co Cu H
1 2 1 8
direct
0.0000 0.0000 0.0000
0.3333 0.6667 0.2950
0.6667 0.3333 0.7050
0.0000 0.0000 0.5000
0.1412 0.2824 0.3088
0.1412 0.8588 0.3088
0.2824 0.1412 0.6912
0.3333 0.6667 0.0505
0.6667 0.3333 0.9495
0.7176 0.8588 0.3088
0.8588 0.1412 0.6912
0.8588 0.7176 0.6912
```

Peak list (12 most intense, 2θ from 10° to 90°, sorted by position)
| d [Å] | 2theta | I_rel |
| --- | --- | --- |
| 6.367 | 13.9 | 18 |
| 3.972 | 22.4 | 75 |
| 3.370 | 26.4 | 74 |
| 2.484 | 36.2 | 100 |
| 2.293 | 39.3 | 58 |
| 1.896 | 48.0 | 15 |
| 1.861 | 49.0 | 13 |
| 1.685 | 54.5 | 31 |
| 1.478 | 62.9 | 13 |
| 1.461 | 63.7 | 13 |
| 1.358 | 69.2 | 30 |
| 1.308 | 72.3 | 13 |

This entry pairs a crystal structure of CoCuHg2 with its computed XRD peak list. Radiation: a wavelength of 1.5418 Å. Structure: the GGA-PBE geometry in Alexandria.
Peak positions follow from Bragg's law for the DFT cell and can differ from measured ones.

Crystal structure
```
CoCuHg2
1.0
3.1639 -3.1789 0.0000
3.1639 3.1789 0.0000
0.0000 0.0000 3.2449
Co Cu Hg
1 1 2
direct
0.0000 0.0000 0.0000
0.5000 0.5000 0.0000
0.0000 0.5000 0.5000
0.5000 0.0000 0.5000
```

Peak list (12 most intense, 2θ from 10° to 90°, sorted by position)
| d [Å] | 2theta | I_rel |
| --- | --- | --- |
| 3.245 | 27.5 | 33 |
| 3.179 | 28.1 | 31 |
| 3.164 | 28.2 | 31 |
| 2.271 | 39.7 | 100 |
| 2.265 | 39.8 | 99 |
| 2.243 | 40.2 | 96 |
| 1.845 | 49.4 | 29 |
| 1.622 | 56.7 | 17 |
| 1.589 | 58.0 | 16 |
| 1.314 | 71.8 | 35 |
| 1.301 | 72.7 | 33 |
| 1.298 | 72.9 | 33 |

This entry pairs a crystal structure of CoCuHg2 with its computed XRD peak list. Radiation: a wavelength of 1.5418 Å. Structure: the GGA-PBE geometry in Alexandria.
Peak positions follow from Bragg's law for the DFT cell and can differ from measured ones.

Crystal structure
```
CoCuHg2
1.0
4.3301 -1.4857 0.0000
4.3301 1.4857 0.0000
-1.0434 0.0000 5.3330
Co Cu Hg
1 1 2
direct
0.0000 0.0000 0.0000
0.5000 0.5000 0.5000
0.2519 0.2519 0.7530
0.7481 0.7481 0.2470
```

Peak list (12 most intense, 2θ from 10° to 90°, sorted by position)
| d [Å] | 2theta | I_rel |
| --- | --- | --- |
| 4.250 | 20.9 | 52 |
| 2.667 | 33.6 | 17 |
| 2.550 | 35.2 | 30 |
| 2.484 | 36.2 | 54 |
| 2.420 | 37.1 | 100 |
| 2.125 | 42.5 | 34 |
| 2.086 | 43.4 | 32 |
| 2.010 | 45.1 | 58 |
| 1.546 | 59.8 | 25 |
| 1.486 | 62.5 | 17 |
| 1.365 | 68.8 | 24 |
| 1.242 | 76.8 | 18 |

This entry pairs a crystal structure of CoCuHgOsRu with its computed XRD peak list. Radiation: a wavelength of 1.5418 Å. Structure: the GGA-PBE geometry in Alexandria.
Peak positions follow from Bragg's law for the DFT cell and can differ from measured ones.

Crystal structure
```
CoCuHgOsRu
1.0
2.7309 0.0000 0.0000
0.0000 4.0074 0.0000
0.0000 0.0000 7.2844
Co Cu Hg Os Ru
1 1 1 1 1
direct
0.0000 0.0000 0.0000
0.5000 0.5000 0.0352
0.5000 0.0000 0.6803
0.5000 0.0000 0.2762
0.0000 0.5000 0.4063
```

Peak list (12 most intense, 2θ from 10° to 90°, sorted by position)
| d [Å] | 2theta | I_rel |
| --- | --- | --- |
| 7.284 | 12.2 | 41 |
| 4.007 | 22.2 | 71 |
| 2.731 | 32.8 | 30 |
| 2.695 | 33.2 | 100 |
| 2.428 | 37.0 | 46 |
| 2.257 | 40.0 | 54 |
| 2.185 | 41.3 | 64 |
| 2.156 | 41.9 | 82 |
| 2.077 | 43.6 | 46 |
| 2.004 | 45.3 | 57 |
| 1.918 | 47.4 | 79 |
| 1.477 | 62.9 | 37 |

This entry pairs a crystal structure of CoCuHgOsRu with its computed XRD peak list. Radiation: a wavelength of 1.5418 Å. Structure: the GGA-PBE geometry in Alexandria.
Peak positions follow from Bragg's law for the DFT cell and can differ from measured ones.

Crystal structure
```
CoCuHgOsRu
1.0
2.7661 0.0000 0.0000
0.0000 2.1208 6.5331
0.0000 -2.1208 6.5331
Co Cu Hg Os Ru
1 1 1 1 1
direct
0.0000 0.0000 0.0000
0.0000 0.2778 0.2778
0.0000 0.6434 0.6434
0.5000 0.8421 0.8421
0.5000 0.4528 0.4528
```

Peak list (12 most intense, 2θ from 10° to 90°, sorted by position)
| d [Å] | 2theta | I_rel |
| --- | --- | --- |
| 4.034 | 22.0 | 49 |
| 2.547 | 35.2 | 49 |
| 2.225 | 40.5 | 58 |
| 2.178 | 41.5 | 15 |
| 2.121 | 42.6 | 34 |
| 2.046 | 44.3 | 100 |
| 1.630 | 56.5 | 26 |
| 1.519 | 61.0 | 10 |
| 1.406 | 66.5 | 17 |
| 1.209 | 79.2 | 18 |
| 1.175 | 82.0 | 15 |
| 1.172 | 82.3 | 17 |

This entry pairs a crystal structure of CoCuHgOsRu with its computed XRD peak list. Radiation: a wavelength of 1.5418 Å. Structure: the GGA-PBE geometry in Alexandria.
Peak positions follow from Bragg's law for the DFT cell and can differ from measured ones.

Crystal structure
```
CoCuHgOsRu
1.0
-1.3923 1.3923 9.2840
1.3923 -1.3923 9.2840
1.3923 1.3923 -9.2840
Co Cu Hg Os Ru
1 1 1 1 1
direct
0.0000 0.0000 0.0000
0.5855 0.5855 0.0000
0.1965 0.1965 0.0000
0.4104 0.4104 0.0000
0.8164 0.8164 0.0000
```

Peak list (12 most intense, 2θ from 10° to 90°, sorted by position)
| d [Å] | 2theta | I_rel |
| --- | --- | --- |
| 4.642 | 19.1 | 16 |
| 2.754 | 32.5 | 14 |
| 2.539 | 35.3 | 14 |
| 2.228 | 40.5 | 100 |
| 1.969 | 46.1 | 38 |
| 1.857 | 49.1 | 11 |
| 1.501 | 61.8 | 7 |
| 1.392 | 67.2 | 12 |
| 1.351 | 69.6 | 15 |
| 1.271 | 74.7 | 7 |
| 1.181 | 81.5 | 26 |
| 1.114 | 87.6 | 8 |